PuAl2Ge2: calculated powder diffractogram (CuKα), based on a DFT-relaxed cell (GGA-PBE, Alexandria).

Largest 12 diffraction maxima, by angle, 10° ≤ 2θ ≤ 80°:
15.92°, d = 5.565 Å, rel. 29.3
23.18°, d = 3.837 Å, rel. 19.7
24.59°, d = 3.620 Å, rel. 18.1
30.98°, d = 2.886 Å, rel. 20.2
33.06°, d = 2.710 Å, rel. 19.2
36.89°, d = 2.436 Å, rel. 100.0
40.52°, d = 2.226 Å, rel. 16.6
43.66°, d = 2.073 Å, rel. 16.4
44.33°, d = 2.044 Å, rel. 15.7
63.97°, d = 1.455 Å, rel. 10.6
75.72°, d = 1.256 Å, rel. 13.3
76.67°, d = 1.243 Å, rel. 12.0

```
PuAl2Ge2
1.0
2.0733 -11.1307 0.0000
2.0733 11.1307 0.0000
0.0000 0.0000 4.0872
Pu Al Ge
2 4 4
Direct
0.1475 0.8525 0.7500
0.8525 0.1475 0.2500
0.0424 0.9576 0.2500
0.4557 0.5443 0.2500
0.5443 0.4557 0.7500
0.9576 0.0424 0.7500
0.2509 0.7491 0.2500
0.3657 0.6343 0.7500
0.6343 0.3657 0.2500
0.7491 0.2509 0.7500
```

***

Cs2TaCl5O: calculated powder diffractogram (CuKα), based on a DFT-relaxed cell (GGA-PBE, Alexandria).

Largest 12 diffraction maxima, by angle, 10° ≤ 2θ ≤ 80°:
14.60°, d = 6.067 Å, rel. 84.5
23.62°, d = 3.767 Å, rel. 100.0
24.60°, d = 3.618 Å, rel. 35.4
28.73°, d = 3.108 Å, rel. 25.5
29.44°, d = 3.034 Å, rel. 29.7
32.17°, d = 2.782 Å, rel. 26.1
35.07°, d = 2.559 Å, rel. 46.7
40.91°, d = 2.206 Å, rel. 15.6
42.72°, d = 2.117 Å, rel. 41.5
48.33°, d = 1.883 Å, rel. 31.4
50.44°, d = 1.809 Å, rel. 15.5
61.10°, d = 1.517 Å, rel. 15.1

```
Cs2TaCl5O
1.0
-3.6184 3.6184 5.5649
3.6184 -3.6184 5.5649
3.6184 3.6184 -5.5649
Cs Ta Cl O
2 1 5 1
Direct
0.0000 0.5000 0.5000
0.5000 0.0000 0.5000
0.2312 0.2312 0.0000
0.0158 0.0158 0.5286
0.0158 0.4872 0.0000
0.4706 0.4706 0.0000
0.4872 0.0158 0.0000
0.4872 0.4872 0.4714
0.0729 0.0729 0.0000
```

***

Na3BeCo: calculated powder diffractogram (CuKα), based on a DFT-relaxed cell (GGA-PBE, Alexandria).

Largest 12 diffraction maxima, by angle, 10° ≤ 2θ ≤ 80°:
16.79°, d = 5.280 Å, rel. 15.8
23.83°, d = 3.734 Å, rel. 30.5
29.30°, d = 3.049 Å, rel. 100.0
33.95°, d = 2.640 Å, rel. 60.5
38.11°, d = 2.361 Å, rel. 8.7
41.91°, d = 2.156 Å, rel. 12.4
48.78°, d = 1.867 Å, rel. 40.6
57.92°, d = 1.592 Å, rel. 38.7
60.76°, d = 1.524 Å, rel. 13.1
66.22°, d = 1.411 Å, rel. 5.9
71.46°, d = 1.320 Å, rel. 5.7
79.05°, d = 1.211 Å, rel. 13.5

```
Na3BeCo
1.0
5.2804 0.0000 0.0000
0.0000 5.2804 0.0000
0.0000 0.0000 5.2804
Na Be Co
3 1 1
Direct
0.0000 0.0000 0.5000
0.0000 0.5000 0.0000
0.5000 0.0000 0.0000
0.0000 0.0000 0.0000
0.5000 0.5000 0.5000
```